The following is a simulated powder diffractogram of Th4Cu6Sn7. It was derived from DFT lattice parameters and positions (PBE), using copper Kα.
Intensities are scaled so that the largest is 100.

Largest 6 diffraction maxima, in order of falling intensity, 10° ≤ 2θ ≤ 80°:
- 33.93°, I = 100, hkl 1 1 4
- 40.83°, I = 35, hkl 2 0 0
- 69.94°, I = 23, hkl 3 1 4
- 22.03°, I = 18, hkl 1 0 2
- 54.10°, I = 14, hkl 2 1 6
- 59.11°, I = 12, hkl 2 2 0

Atomic structure:
```
data_Th4Cu6Sn7
_chemical_formula_sum 'Th4 Cu6 Sn7'
_symmetry_space_group_name_H-M 'P 4 m m'
_symmetry_Int_Tables_number 99
_symmetry_space_group_name_Hall 'P 4 -2'
_cell_length_a 4.4205
_cell_length_b 4.4205
_cell_length_c 19.7680
_cell_angle_alpha 90.00
_cell_angle_beta 90.00
_cell_angle_gamma 90.00
loop_
_atom_site_label
_atom_site_fract_x
_atom_site_fract_y
_atom_site_fract_z
Th1 0.0000 0.0000 0.0000
Th2 0.0000 0.0000 0.4827
Th3 0.5000 0.5000 0.2195
Th4 0.5000 0.5000 0.7273
Cu1 0.0000 0.0000 0.2604
Cu2 0.0000 0.0000 0.7952
Cu3 0.0000 0.5000 0.1170
Cu4 0.0000 0.5000 0.6001
Sn1 0.0000 0.0000 0.6688
Sn2 0.0000 0.5000 0.3518
Sn3 0.0000 0.5000 0.8706
Sn4 0.5000 0.5000 0.0407
Sn5 0.5000 0.5000 0.5219
```

=====

The following is a simulated powder diffractogram of KNaMg14. It was derived from DFT lattice parameters and positions (PBE), using copper Kα.
Intensities are scaled so that the largest is 100.

Largest 6 diffraction maxima, in order of falling intensity, 10° ≤ 2θ ≤ 80°:
- 36.02°, I = 100, hkl 2 2 2
- 35.24°, I = 53, hkl 2 0 4
- 33.14°, I = 40, hkl 4 0 0
- 31.84°, I = 24, hkl 0 2 2
- 66.31°, I = 19, hkl 4 2 6
- 55.64°, I = 18, hkl 0 2 6

Atomic structure:
```
data_KNaMg14
_chemical_formula_sum 'K2 Na2 Mg28'
_symmetry_space_group_name_H-M 'A m m 2'
_symmetry_Int_Tables_number 38
_symmetry_space_group_name_Hall 'A 2 -2'
_cell_length_a 10.8122
_cell_length_b 6.4343
_cell_length_c 11.5507
_cell_angle_alpha 90.00
_cell_angle_beta 90.00
_cell_angle_gamma 90.00
loop_
_atom_site_label
_atom_site_fract_x
_atom_site_fract_y
_atom_site_fract_z
K1 0.0000 0.0000 0.0000
Na1 0.0000 0.0000 0.4994
Mg1 0.0000 0.2487 0.2503
Mg2 0.2518 0.0000 0.6692
Mg3 0.2616 0.0000 0.1723
Mg4 0.2685 0.2458 0.4125
Mg5 0.5000 0.0000 0.0006
Mg6 0.5000 0.0000 0.5005
Mg7 0.5000 0.2501 0.2500
```